# 1
Starting from the PBE geometry in Alexandria, the X-ray diffraction stick pattern of Sr4Bi11 was simulated for λ = 1.5418 Å (Cu Kα).
Peak positions follow from Bragg's law for the DFT cell and can differ from measured ones.

Top 10 peaks for 10 to 80 degrees two-theta, by angle:
- d 3.726, 23.88 deg, I 17.3, (1 2 1)
- d 3.246, 27.48 deg, I 16.3, (2 1 1)
- d 3.064, 29.14 deg, I 29.2, (1 2 -1)
- d 3.034, 29.44 deg, I 100.0, (-1 1 2)
- d 2.868, 31.19 deg, I 33.4, (0 3 1)
- d 2.789, 32.09 deg, I 44.7, (1 -1 3)
- d 2.754, 32.51 deg, I 17.1, (2 2 1)
- d 2.682, 33.41 deg, I 46.0, (2 -2 1)
- d 2.167, 41.67 deg, I 17.8, (3 0 0)
- d 2.123, 42.59 deg, I 13.6, (1 2 4)

Crystal structure
a = 6.9120 Å, b = 8.8574 Å, c = 9.2171 Å
α = 84.25°, β = 70.23°, γ = 88.64°
Space group P-1 (No. 2)
Asymmetric unit:
Sr  0.0519  0.3991  0.2715 (multiplicity 2)
Sr  0.3627  0.9381  0.7362 (multiplicity 2)
Bi  0.0000  0.0000  0.5000 (multiplicity 1)
Bi  0.0200  0.2502  0.9016 (multiplicity 2)
Bi  0.2321  0.0389  0.1176 (multiplicity 2)
Bi  0.3065  0.2987  0.5358 (multiplicity 2)
Bi  0.3092  0.7218  0.3444 (multiplicity 2)
Bi  0.4049  0.5295  0.8626 (multiplicity 2)

***

# 2
Starting from the PBE geometry in Alexandria, the X-ray diffraction stick pattern of Sr2Bi3 was simulated for λ = 1.5418 Å (Cu Kα).
Peak positions follow from Bragg's law for the DFT cell and can differ from measured ones.

Top 10 peaks for 10 to 80 degrees two-theta, by angle:
- d 4.805, 18.46 deg, I 84.9, (0 1 1)
- d 3.406, 26.16 deg, I 56.8, (4 1 0)
- d 3.158, 28.26 deg, I 84.3, (2 2 0)
- d 3.078, 29.01 deg, I 62.4, (2 0 2)
- d 3.036, 29.42 deg, I 100.0, (4 1 1)
- d 2.958, 30.22 deg, I 86.7, (1 1 2)
- d 2.838, 31.53 deg, I 59.4, (5 0 1)
- d 2.403, 37.43 deg, I 64.0, (0 2 2)
- d 2.294, 39.27 deg, I 64.1, (6 1 1)
- d 2.208, 40.87 deg, I 73.0, (2 3 0)

Crystal structure
a = 15.6660 Å, b = 6.9016 Å, c = 6.6945 Å
α = 90.00°, β = 90.00°, γ = 90.00°
Space group Pnna (No. 52)
Asymmetric unit:
Sr  0.0003  0.2500  0.2500 (multiplicity 4)
Sr  0.2500  0.0000  0.0600 (multiplicity 4)
Bi  0.0692  0.7500  0.2500 (multiplicity 4)
Bi  0.1536  0.0634  0.5787 (multiplicity 8)